Starting from the GGA-PBE geometry in the Materials Project, the powder diffraction line list of Sm2AsSe was simulated for copper Kα.
Neutral-atom scattering factors, no anomalous dispersion.

Structural model:
a = 4.1962 Å, b = 4.1962 Å, c = 20.6025 Å
α = 90.00°, β = 90.00°, γ = 120.00°
Element x y z (fractional)
Sm: 0.0000 0.0000 0.2462
Sm: 0.0000 0.0000 0.7538
Sm: 0.3333 0.6667 0.4204
Sm: 0.3333 0.6667 0.9129
Sm: 0.6667 0.3333 0.0871
Sm: 0.6667 0.3333 0.5796
As: 0.0000 0.0000 0.5000
As: 0.3333 0.6667 0.1667
As: 0.6667 0.3333 0.8333
Se: 0.0000 0.0000 0.0000
Se: 0.3333 0.6667 0.6667
Se: 0.6667 0.3333 0.3333

Most intense lines, 2θ = 15–90°, low angle first:
- 25.99°, I 182, (0 1 2)
- 30.10°, I 1000, (1 0 4)
- 43.08°, I 743, (1 1 0)
- 51.01°, I 87, (2 0 2)
- 53.36°, I 63, (0 0 12)
- 53.48°, I 198, (0 2 4)
- 62.56°, I 121, (2 0 8)
- 70.98°, I 330, (2 1 4)
- 78.87°, I 58, (1 0 16)
- 79.02°, I 187, (3 0 0)